This entry pairs a crystal structure of Ba2AcI with its computed X-ray powder pattern. Radiation: CuKα. Structure: a DFT-relaxed cell (PBE, Alexandria).

The 12 most intense peaks (5° ≤ 2θ ≤ 70°), in order of falling intensity:
two_theta	I (rel.)	hkl
26.66	100	0 1 5
29.39	54	1 0 7
41.34	41	1 1 0
51.92	35	1 1 12
30.01	27	0 0 12
25.57	25	1 0 4
24.05	23	0 1 2
34.53	18	1 0 10
49.88	18	2 0 5
49.62	18	0 1 17
23.65	17	1 0 1
66.72	15	1 2 5

a b c (Å): 4.3679 4.3679 35.7326
angles (deg): 90.00 90.00 120.00
Space group R3m (No. 160, hexagonal axes)
One atom of each set of equivalent atoms:
Ba 0.0000 0.0000 0.0000
Ba 0.0000 0.0000 0.1843
Ac 0.0000 0.0000 0.7591
I 0.0000 0.0000 0.5920